The following is a theoretical powder XRD pattern of CdIn. It was derived from a DFT-relaxed cell (GGA-PBE, Alexandria), using Cu Ka.
Intensities are scaled so that the largest is 100.

Structural model:
```
CdIn
1.0
8.4989 0.0000 0.0000
-4.2494 7.3603 0.0000
0.0000 0.0000 5.1282
Cd In
6 6
Cartesian
-0.5153 1.7967 1.2821
-2.4358 6.9082 1.2821
1.2983 1.3446 3.8462
2.9512 6.0156 1.2821
6.6853 0.4521 3.8462
4.7648 5.5636 3.8462
-1.2507 3.5570 3.8462
-0.5437 6.6649 3.8462
2.4551 2.8616 1.2821
1.7944 4.4986 3.8462
4.7931 0.6953 1.2821
5.5002 3.8033 1.2821
```

Main lines, by angle (10° ≤ 2θ ≤ 90°):
2θ 32.18, rel. 24, (2 1 0)
2θ 34.99, rel. 26, (0 0 2)
2θ 36.75, rel. 100, (2 1 1)
2θ 57.38, rel. 21, (1 4 0)
2θ 63.92, rel. 19, (2 1 3)
2θ 69.00, rel. 21, (1 4 2)